No. 1
Theoretical X-ray diffraction stick pattern
Compound: RbBaLi
Radiation: Cu Kα (weighted mean of Kα1 and Kα2)
Structure: a structure optimized by DFT (PBE)
Intensities are scaled so that the largest is 100.

Structural model:
a = 4.3263 Å, b = 4.3263 Å, c = 17.8755 Å
α = 90.00°, β = 90.00°, γ = 90.00°
Sites, in units of the cell vectors:
Rb (0.0000, 0.0000, 0.0000)
Rb (0.5000, 0.5000, 0.2379)
Ba (0.0000, 0.0000, 0.5952)
Ba (0.5000, 0.5000, 0.7864)
Li (0.0000, 0.0000, 0.3959)
Li (0.5000, 0.5000, 0.4554)

Principal peaks in the range 2θ from 10° to 90°, low angle first:
2theta, I_rel
22.84, 100
24.91, 20
25.44, 39
29.19, 39
38.74, 25
41.04, 21
48.12, 26
59.98, 17

---

No. 2
Theoretical X-ray diffraction stick pattern
Compound: AcZr5
Radiation: Cu Kα (weighted mean of Kα1 and Kα2)
Structure: a structure optimized by DFT (PBE)
Intensities are scaled so that the largest is 100.

Structural model:
a = 7.3502 Å, b = 7.3502 Å, c = 4.7097 Å
α = 90.00°, β = 90.00°, γ = 143.19°
Sites, in units of the cell vectors:
Ac (0.0000, 0.0000, 0.0000)
Zr (0.1727, 0.8273, 0.5000)
Zr (0.3275, 0.6725, 0.0000)
Zr (0.5000, 0.5000, 0.5000)
Zr (0.6725, 0.3275, 0.0000)
Zr (0.8273, 0.1727, 0.5000)

Principal peaks in the range 2θ from 10° to 90°, low angle first:
2theta, I_rel
33.25, 100
38.22, 17
38.77, 33
55.57, 23
55.99, 11
65.95, 13
66.70, 25
69.82, 11